Diffraction record for TiZn2Rh5. The PXRD pattern is theoretical, not measured: it uses a cell relaxed with GGA-PBE and a wavelength of 1.5418 Å.

Principal peaks in the range 2θ = 10–90°, by angle:
d (Å)	intensity
2.208	100
1.990	36
1.780	13
1.407	11
1.327	18
1.187	26

Lattice parameters (Å, degrees): 7.656 7.656 7.656 149.86 149.86 43.14
Fractional coordinates of all 8 atoms:
Ti  0.000  0.000  0.000
Zn  0.250  0.250  0.000
Zn  0.750  0.750  0.000
Rh  0.127  0.627  0.500
Rh  0.373  0.873  0.500
Rh  0.500  0.500  0.000
Rh  0.627  0.127  0.500
Rh  0.873  0.373  0.500

***

Diffraction record for Ti12Zn2Rh5. The PXRD pattern is theoretical, not measured: it uses a cell relaxed with GGA-PBE and a wavelength of 1.5418 Å.

Principal peaks in the range 2θ = 10–90°, by angle:
d (Å)	intensity
3.326	97
2.451	56
2.339	100
2.256	60
2.230	56
2.127	90

Lattice parameters (Å, degrees): 7.484 7.484 8.047 97.09 97.09 47.95
Fractional coordinates of all 19 atoms:
Ti  0.014  0.014  0.320
Ti  0.074  0.555  0.860
Ti  0.095  0.627  0.432
Ti  0.373  0.905  0.568
Ti  0.408  0.408  0.162
Ti  0.445  0.926  0.140
Ti  0.555  0.074  0.860
Ti  0.592  0.592  0.838
Ti  0.627  0.095  0.432
Ti  0.905  0.373  0.568
Ti  0.926  0.445  0.140
Ti  0.986  0.986  0.680
Zn  0.204  0.796  0.000
Zn  0.796  0.204  0.000
Rh  0.161  0.161  0.880
Rh  0.225  0.225  0.370
Rh  0.500  0.500  0.500
Rh  0.775  0.775  0.630
Rh  0.839  0.839  0.120

***

Diffraction record for ZrTi4Rh5. The PXRD pattern is theoretical, not measured: it uses a cell relaxed with GGA-PBE and a wavelength of 1.5418 Å.

Principal peaks in the range 2θ = 10–90°, by angle:
d (Å)	intensity
3.094	14
2.244	100
2.188	57
1.547	18
1.307	9
1.274	30

Lattice parameters (Å, degrees): 3.094 3.094 16.290 90.00 90.00 90.00
Fractional coordinates of all 10 atoms:
Zr  0.000  0.000  0.000
Ti  0.000  0.000  0.212
Ti  0.000  0.000  0.405
Ti  0.000  0.000  0.595
Ti  0.000  0.000  0.788
Rh  0.500  0.500  0.124
Rh  0.500  0.500  0.311
Rh  0.500  0.500  0.500
Rh  0.500  0.500  0.689
Rh  0.500  0.500  0.876